For Li4Fe2Co3Sn3O16, a DFT-relaxed cell (PBE+U, Alexandria) gives the computed powder XRD pattern in this record (copper Kα).
Neutral-atom scattering factors, no anomalous dispersion.

Principal peaks in the range 2θ = 10–90°, in order of rising 2θ:
| Position (°2θ) | intensity |
| --- | --- |
| 19.02 | 100 |
| 19.44 | 30 |
| 19.66 | 61 |
| 19.70 | 19 |
| 25.47 | 19 |
| 33.35 | 17 |
| 34.56 | 19 |
| 35.78 | 54 |
| 36.05 | 69 |
| 45.88 | 26 |

Cell and atoms:
a = 5.9749 Å, b = 5.9856 Å, c = 9.3319 Å
α = 90.63°, β = 90.39°, γ = 119.77°
Fractional positions:
Li 0.0000 0.0000 0.0000
Li 0.1212 0.2298 0.4612
Li 0.4611 0.9296 0.5673
Li 0.7887 0.5712 0.0934
Fe 0.4649 0.9325 0.9800
Fe 0.7838 0.5853 0.4773
Co 0.2991 0.0870 0.2487
Co 0.7915 0.0865 0.2523
Co 0.9523 0.9129 0.7457
Sn 0.2961 0.5927 0.2456
Sn 0.4593 0.4232 0.7602
Sn 0.9574 0.4235 0.7599
O 0.0789 0.7416 0.6183
O 0.1121 0.2332 0.6503
O 0.1149 0.2337 0.1505
O 0.1683 0.7955 0.1170
O 0.2808 0.0775 0.8665
O 0.2993 0.6033 0.8735
O 0.4535 0.4110 0.3656
O 0.4712 0.9412 0.3554
O 0.6069 0.2091 0.1324
O 0.6313 0.7991 0.1188
O 0.6431 0.2955 0.6169
O 0.6518 0.7426 0.6205
O 0.7918 0.0774 0.8663
O 0.8058 0.6166 0.8726
O 0.9484 0.4023 0.3622
O 0.9539 0.9258 0.3512